(1)
For GdDyZn4, a crystal structure in OQMD, relaxed with PBE gives the simulated XRD peak list in this record (Cu Kα, 1.54184 Å).
Peak positions follow from Bragg's law for the DFT cell and can differ from measured ones.

Top 10 peaks for 10 to 90 degrees two-theta, in order of rising 2θ:
2theta, I (rel.)
23.09, 20
33.49, 19
34.31, 100
34.64, 44
40.28, 31
41.12, 49
54.15, 25
66.66, 12
67.82, 11
69.40, 13

Cell: 4.478 7.114 7.556 Å, 90.00 90.00 90.00°
Space group Imm2 (No. 44)
Inequivalent atoms, fractional coordinates:
Gd: 0.000 0.000 0.000 x2
Dy: 0.000 0.500 0.940 x2
Zn: 0.000 0.206 0.635 x4
Zn: 0.000 0.294 0.303 x4

(2)
For GdDyZn6, a crystal structure in OQMD, relaxed with PBE gives the simulated XRD peak list in this record (Cu Kα, 1.54184 Å).
Peak positions follow from Bragg's law for the DFT cell and can differ from measured ones.

Top 10 peaks for 10 to 90 degrees two-theta, in order of rising 2θ:
2theta, I (rel.)
23.28, 13
26.94, 7
38.47, 100
45.41, 5
55.47, 11
55.65, 6
69.54, 22
69.66, 11
82.32, 3
82.47, 7

Cell: 4.685 6.606 4.686 Å, 90.00 90.00 90.00°
Space group Pmm2 (No. 25)
Inequivalent atoms, fractional coordinates:
Gd: 0.000 0.000 0.000 x1
Dy: 0.500 0.500 0.491 x1
Zn: 0.000 0.251 0.501 x2
Zn: 0.000 0.500 0.999 x1
Zn: 0.500 0.000 0.492 x1
Zn: 0.500 0.251 0.991 x2

(3)
For Dy3Ge5, a crystal structure in OQMD, relaxed with PBE gives the simulated XRD peak list in this record (Cu Kα, 1.54184 Å).
Peak positions follow from Bragg's law for the DFT cell and can differ from measured ones.

Top 10 peaks for 10 to 90 degrees two-theta, in order of rising 2θ:
2theta, I (rel.)
25.89, 20
29.27, 87
33.58, 100
33.71, 95
39.47, 88
44.35, 72
51.57, 34
60.76, 21
70.23, 18
74.65, 20

Cell: 5.765 17.373 13.767 Å, 90.00 90.00 90.00°
Space group Fdd2 (No. 43)
Inequivalent atoms, fractional coordinates:
Dy: 0.000 0.000 0.000 x8
Dy: 0.019 0.167 0.506 x16
Ge: 0.000 0.000 0.445 x8
Ge: 0.006 0.163 0.086 x16
Ge: 0.067 0.186 0.903 x16

(4)
For DyGeH2O4, a crystal structure in OQMD, relaxed with PBE gives the simulated XRD peak list in this record (Cu Kα, 1.54184 Å).
Peak positions follow from Bragg's law for the DFT cell and can differ from measured ones.

Top 10 peaks for 10 to 90 degrees two-theta, in order of rising 2θ:
2theta, I (rel.)
17.15, 31
26.54, 95
28.98, 100
37.89, 23
48.40, 70
52.81, 26
60.07, 15
63.06, 20
75.98, 14
79.47, 14

Cell: 6.716 6.716 8.096 Å, 90.00 90.00 90.00°
Space group I-42d (No. 122)
Inequivalent atoms, fractional coordinates:
Dy: 0.000 0.000 0.000 x4
Ge: 0.000 0.000 0.500 x4
H: 0.000 0.000 0.269 x8
O: 0.006 0.674 0.952 x16

(5)
For DyGeH2O4, a crystal structure in OQMD, relaxed with PBE gives the simulated XRD peak list in this record (Cu Kα, 1.54184 Å).
Peak positions follow from Bragg's law for the DFT cell and can differ from measured ones.

Top 10 peaks for 10 to 90 degrees two-theta, in order of rising 2θ:
2theta, I (rel.)
18.31, 83
20.98, 40
23.32, 96
25.64, 94
28.87, 100
30.16, 79
34.11, 55
35.49, 98
46.03, 60
55.58, 40

Cell: 4.966 6.184 5.952 Å, 90.00 102.62 90.00°
Space group P2_1/m (No. 11)
Inequivalent atoms, fractional coordinates:
Dy: 0.049 0.250 0.176 x2
Ge: 0.301 0.250 0.709 x2
H: 0.338 0.750 0.518 x2
H: 0.500 0.000 0.000 x2
O: 0.036 0.750 0.472 x2
O: 0.255 0.024 0.936 x4
O: 0.449 0.250 0.431 x2

(6)
For DyGeH2O4, a crystal structure in OQMD, relaxed with PBE gives the simulated XRD peak list in this record (Cu Kα, 1.54184 Å).
Peak positions follow from Bragg's law for the DFT cell and can differ from measured ones.

Top 10 peaks for 10 to 90 degrees two-theta, in order of rising 2θ:
2theta, I (rel.)
17.97, 32
25.01, 100
31.56, 47
31.66, 48
35.48, 17
35.84, 16
48.28, 40
48.49, 38
51.32, 14
59.97, 16

Cell: 10.021 10.120 6.846 Å, 90.00 90.00 90.00°
Space group Fdd2 (No. 43)
Inequivalent atoms, fractional coordinates:
Dy: 0.000 0.000 0.000 x8
Ge: 0.000 0.000 0.535 x8
H: 0.043 0.241 0.615 x16
O: 0.060 0.377 0.216 x16
O: 0.115 0.306 0.577 x16